(1)
The following is a calculated powder diffraction line list of Ba2VBr6. It was derived from a cell relaxed with GGA-PBE, using a wavelength of 1.5418 Å.
Neutral-atom scattering factors, no anomalous dispersion.

Cell: 7.148 8.264 12.375 Å, 90.00 124.26 90.00°
Fractional coordinates of all 18 atoms:
Ba 0.219 0.105 0.255
Ba 0.219 0.395 0.755
Ba 0.781 0.605 0.245
Ba 0.781 0.895 0.745
V 0.500 0.000 0.000
V 0.500 0.500 0.500
Br 0.142 0.164 0.953
Br 0.142 0.336 0.453
Br 0.291 0.713 0.951
Br 0.291 0.787 0.451
Br 0.346 0.018 0.751
Br 0.346 0.482 0.251
Br 0.654 0.518 0.749
Br 0.654 0.982 0.249
Br 0.709 0.213 0.549
Br 0.709 0.287 0.049
Br 0.858 0.664 0.547
Br 0.858 0.836 0.047

Principal peaks in the range 5 to 70 degrees two-theta, low angle first:
- 27.8°, I = 100
- 28.4°, I = 54
- 28.7°, I = 68
- 30.3°, I = 57
- 30.8°, I = 87
- 31.2°, I = 43
- 34.1°, I = 66
- 34.9°, I = 65
- 35.1°, I = 72
- 36.0°, I = 64


(2)
The following is a calculated powder diffraction line list of Ba2YBr7. It was derived from a cell relaxed with GGA-PBE, using a wavelength of 1.5418 Å.
Neutral-atom scattering factors, no anomalous dispersion.

Cell: 12.563 12.563 12.882 Å, 118.61 118.61 65.98°
Fractional coordinates of all 40 atoms:
Ba 0.108 0.741 0.938
Ba 0.259 0.892 0.562
Ba 0.317 0.441 0.468
Ba 0.441 0.317 0.968
Ba 0.559 0.683 0.032
Ba 0.683 0.559 0.532
Ba 0.741 0.108 0.438
Ba 0.892 0.259 0.062
Y 0.026 0.321 0.680
Y 0.321 0.026 0.180
Y 0.679 0.974 0.820
Y 0.974 0.679 0.320
Br 0.017 0.450 0.347
Br 0.033 0.095 0.680
Br 0.095 0.033 0.180
Br 0.117 0.734 0.577
Br 0.144 0.449 0.939
Br 0.202 0.248 0.135
Br 0.212 0.619 0.302
Br 0.248 0.202 0.635
Br 0.266 0.883 0.923
Br 0.350 0.526 0.838
Br 0.381 0.788 0.198
Br 0.449 0.144 0.439
Br 0.450 0.017 0.847
Br 0.474 0.650 0.662
Br 0.526 0.350 0.338
Br 0.550 0.983 0.153
Br 0.551 0.856 0.561
Br 0.619 0.212 0.802
Br 0.650 0.474 0.162
Br 0.734 0.117 0.077
Br 0.752 0.798 0.365
Br 0.788 0.381 0.698
Br 0.798 0.752 0.865
Br 0.856 0.551 0.061
Br 0.883 0.266 0.423
Br 0.905 0.967 0.820
Br 0.967 0.905 0.320
Br 0.983 0.550 0.653

Principal peaks in the range 5 to 70 degrees two-theta, low angle first:
- 13.8°, I = 100
- 27.5°, I = 34
- 27.7°, I = 24
- 28.2°, I = 36
- 28.9°, I = 81
- 29.3°, I = 46
- 30.8°, I = 45
- 31.0°, I = 28
- 35.0°, I = 23
- 37.9°, I = 24